[1]
This entry pairs a crystal structure of CdAg5 with its theoretical powder diffraction line list. Radiation: a wavelength of 1.5418 Å. Structure: a crystal structure in Alexandria, relaxed with PBE.
Lines closer than 0.1° are merged.

The 6 most intense peaks (2θ from 5° to 70°), in order of rising 2θ:
2.558 Å, rel. 24; 2.425 Å, rel. 27; 2.263 Å, rel. 100; 1.760 Å, rel. 15; 1.477 Å, rel. 16; 1.367 Å, rel. 19

Atomic structure:
```
data_CdAg5
_chemical_formula_sum 'Cd1 Ag5'
_cell_length_a 5.1167
_cell_length_b 5.1167
_cell_length_c 4.8498
_cell_angle_alpha 90.00
_cell_angle_beta 90.00
_cell_angle_gamma 120.00
_space_group_name_H-M_alt 'P 1'
_space_group_IT_number 1
loop_
_space_group_symop_operation_xyz
'x,y,z'
loop_
_atom_site_label
_atom_site_fract_x
_atom_site_fract_y
_atom_site_fract_z
Cd1 0.0000 0.0000 0.0000
Ag1 0.0000 0.6640 0.5000
Ag2 0.3333 0.6667 0.0000
Ag3 0.3360 0.3360 0.5000
Ag4 0.6640 0.0000 0.5000
Ag5 0.6667 0.3333 0.0000
```

***

[2]
This entry pairs a crystal structure of SmDyHo6Tm2 with its theoretical powder diffraction line list. Radiation: a wavelength of 1.5418 Å. Structure: a crystal structure in Alexandria, relaxed with PBE.
Lines closer than 0.1° are merged.

The 8 most intense peaks (2θ from 5° to 70°), in order of rising 2θ:
3.101 Å, rel. 37; 2.897 Å, rel. 57; 2.884 Å, rel. 44; 2.833 Å, rel. 100; 2.802 Å, rel. 35; 2.738 Å, rel. 21; 2.611 Å, rel. 43; 2.367 Å, rel. 16

Atomic structure:
```
data_SmDyHo6Tm2
_chemical_formula_sum 'Sm2 Dy2 Ho12 Tm4'
_cell_length_a 8.7176
_cell_length_b 8.7176
_cell_length_c 9.4479
_cell_angle_alpha 93.53
_cell_angle_beta 93.53
_cell_angle_gamma 117.54
_space_group_name_H-M_alt 'P 1'
_space_group_IT_number 1
loop_
_space_group_symop_operation_xyz
'x,y,z'
loop_
_atom_site_label
_atom_site_fract_x
_atom_site_fract_y
_atom_site_fract_z
Sm1 0.0265 0.9735 0.7500
Sm2 0.9735 0.0265 0.2500
Dy1 0.4096 0.5904 0.2500
Dy2 0.5904 0.4096 0.7500
Ho1 0.0179 0.5656 0.6825
Ho2 0.1221 0.7526 0.0565
Ho3 0.2474 0.8779 0.4435
Ho4 0.2916 0.5093 0.8818
Ho5 0.4344 0.9821 0.8175
Ho6 0.4907 0.7084 0.6182
Ho7 0.5093 0.2916 0.3818
Ho8 0.5656 0.0179 0.1825
Ho9 0.7084 0.4907 0.1182
Ho10 0.7526 0.1221 0.5565
Ho11 0.8779 0.2474 0.9435
Ho12 0.9821 0.4344 0.3175
Tm1 0.1983 0.3037 0.5465
Tm2 0.3037 0.1983 0.0465
Tm3 0.6963 0.8017 0.9535
Tm4 0.8017 0.6963 0.4535
```

***

[3]
This entry pairs a crystal structure of Ce6Ge3P with its theoretical powder diffraction line list. Radiation: a wavelength of 1.5418 Å. Structure: a crystal structure in Alexandria, relaxed with PBE.
Lines closer than 0.1° are merged.

The 8 most intense peaks (2θ from 5° to 70°), in order of rising 2θ:
3.187 Å, rel. 42; 3.100 Å, rel. 34; 2.895 Å, rel. 56; 2.876 Å, rel. 60; 2.701 Å, rel. 54; 2.688 Å, rel. 38; 2.678 Å, rel. 53; 2.453 Å, rel. 100

Atomic structure:
```
data_Ce6Ge3P
_chemical_formula_sum 'Ce12 Ge6 P2'
_cell_length_a 5.8928
_cell_length_b 8.0956
_cell_length_c 12.3271
_cell_angle_alpha 90.00
_cell_angle_beta 118.05
_cell_angle_gamma 90.00
_space_group_name_H-M_alt 'P 1'
_space_group_IT_number 1
loop_
_space_group_symop_operation_xyz
'x,y,z'
loop_
_atom_site_label
_atom_site_fract_x
_atom_site_fract_y
_atom_site_fract_z
Ce1 0.0291 0.1501 0.4344
Ce2 0.0291 0.3499 0.9344
Ce3 0.3401 0.6717 0.4285
Ce4 0.3401 0.8283 0.9285
Ce5 0.3813 0.0287 0.2551
Ce6 0.3813 0.4713 0.7551
Ce7 0.6187 0.5287 0.2449
Ce8 0.6187 0.9713 0.7449
Ce9 0.6599 0.1717 0.0715
Ce10 0.6599 0.3283 0.5715
Ce11 0.9709 0.6501 0.0656
Ce12 0.9709 0.8499 0.5656
Ge1 0.0000 0.0000 0.0000
Ge2 0.0000 0.5000 0.5000
Ge3 0.1465 0.1321 0.7547
Ge4 0.1465 0.3679 0.2547
Ge5 0.8535 0.6321 0.7453
Ge6 0.8535 0.8679 0.2453
P1 0.5000 0.0000 0.5000
P2 0.5000 0.5000 0.0000
```

***

[4]
This entry pairs a crystal structure of CeUP2Rh5 with its theoretical powder diffraction line list. Radiation: a wavelength of 1.5418 Å. Structure: a crystal structure in Alexandria, relaxed with PBE.
Lines closer than 0.1° are merged.

The 8 most intense peaks (2θ from 5° to 70°), in order of rising 2θ:
10.722 Å, rel. 34; 3.753 Å, rel. 27; 3.574 Å, rel. 22; 3.209 Å, rel. 41; 2.505 Å, rel. 100; 2.220 Å, rel. 28; 2.003 Å, rel. 50; 1.947 Å, rel. 36

Atomic structure:
```
data_CeUP2Rh5
_chemical_formula_sum 'Ce1 U1 P2 Rh5'
_cell_length_a 4.0062
_cell_length_b 4.0062
_cell_length_c 10.7217
_cell_angle_alpha 90.00
_cell_angle_beta 90.00
_cell_angle_gamma 90.00
_space_group_name_H-M_alt 'P 1'
_space_group_IT_number 1
loop_
_space_group_symop_operation_xyz
'x,y,z'
loop_
_atom_site_label
_atom_site_fract_x
_atom_site_fract_y
_atom_site_fract_z
Ce1 0.0000 0.0000 0.0000
U1 0.0000 0.0000 0.5000
P1 0.5000 0.5000 0.2129
P2 0.5000 0.5000 0.7871
Rh1 0.0000 0.5000 0.3210
Rh2 0.0000 0.5000 0.6790
Rh3 0.5000 0.0000 0.3210
Rh4 0.5000 0.0000 0.6790
Rh5 0.5000 0.5000 0.0000
```

***

[5]
This entry pairs a crystal structure of Ce7Pb4N4 with its theoretical powder diffraction line list. Radiation: a wavelength of 1.5418 Å. Structure: a crystal structure in Alexandria, relaxed with PBE.
Lines closer than 0.1° are merged.

The 8 most intense peaks (2θ from 5° to 70°), in order of rising 2θ:
3.556 Å, rel. 13; 3.166 Å, rel. 30; 2.724 Å, rel. 100; 2.638 Å, rel. 15; 2.514 Å, rel. 16; 2.309 Å, rel. 16; 1.730 Å, rel. 24; 1.584 Å, rel. 14

Atomic structure:
```
data_Ce7Pb4N4
_chemical_formula_sum 'Ce14 Pb8 N8'
_cell_length_a 11.1279
_cell_length_b 11.1279
_cell_length_c 11.1279
_cell_angle_alpha 94.64
_cell_angle_beta 94.64
_cell_angle_gamma 146.94
_space_group_name_H-M_alt 'P 1'
_space_group_IT_number 1
loop_
_space_group_symop_operation_xyz
'x,y,z'
loop_
_atom_site_label
_atom_site_fract_x
_atom_site_fract_y
_atom_site_fract_z
Ce1 0.0000 0.3083 0.3083
Ce2 0.0000 0.6917 0.6917
Ce3 0.1207 0.5000 0.6207
Ce4 0.2138 0.2138 0.0000
Ce5 0.2892 0.2892 0.5784
Ce6 0.2892 0.7108 0.0000
Ce7 0.3083 0.0000 0.3083
Ce8 0.5000 0.1207 0.6207
Ce9 0.5000 0.8793 0.3793
Ce10 0.6917 0.0000 0.6917
Ce11 0.7108 0.2892 0.0000
Ce12 0.7108 0.7108 0.4216
Ce13 0.7862 0.7862 0.0000
Ce14 0.8793 0.5000 0.3793
Pb1 0.1394 0.1394 0.2788
Pb2 0.1394 0.8606 0.0000
Pb3 0.3252 0.5000 0.8252
Pb4 0.5000 0.3252 0.8252
Pb5 0.5000 0.6748 0.1748
Pb6 0.6748 0.5000 0.1748
Pb7 0.8606 0.1394 0.0000
Pb8 0.8606 0.8606 0.7212
N1 0.1406 0.6406 0.2812
N2 0.1406 0.8594 0.5000
N3 0.3594 0.6406 0.5000
N4 0.3594 0.8594 0.7188
N5 0.6406 0.1406 0.2812
N6 0.6406 0.3594 0.5000
N7 0.8594 0.1406 0.5000
N8 0.8594 0.3594 0.7188
```

***

[6]
This entry pairs a crystal structure of Pr2NbCu with its theoretical powder diffraction line list. Radiation: a wavelength of 1.5418 Å. Structure: a crystal structure in Alexandria, relaxed with PBE.
Lines closer than 0.1° are merged.

The 8 most intense peaks (2θ from 5° to 70°), in order of rising 2θ:
2.808 Å, rel. 85; 2.778 Å, rel. 92; 2.721 Å, rel. 54; 2.588 Å, rel. 62; 2.134 Å, rel. 100; 2.044 Å, rel. 47; 1.627 Å, rel. 48; 1.397 Å, rel. 39

Atomic structure:
```
data_Pr2NbCu
_chemical_formula_sum 'Pr6 Nb3 Cu3'
_cell_length_a 3.2547
_cell_length_b 3.2547
_cell_length_c 32.6574
_cell_angle_alpha 90.00
_cell_angle_beta 90.00
_cell_angle_gamma 120.00
_space_group_name_H-M_alt 'P 1'
_space_group_IT_number 1
loop_
_space_group_symop_operation_xyz
'x,y,z'
loop_
_atom_site_label
_atom_site_fract_x
_atom_site_fract_y
_atom_site_fract_z
Pr1 0.0000 0.0000 0.0930
Pr2 0.0000 0.0000 0.9070
Pr3 0.3333 0.6667 0.5736
Pr4 0.3333 0.6667 0.7597
Pr5 0.6667 0.3333 0.2403
Pr6 0.6667 0.3333 0.4264
Nb1 0.0000 0.0000 0.0000
Nb2 0.3333 0.6667 0.6667
Nb3 0.6667 0.3333 0.3333
Cu1 0.0000 0.0000 0.5000
Cu2 0.3333 0.6667 0.1667
Cu3 0.6667 0.3333 0.8333
```

***

[7]
This entry pairs a crystal structure of Al7Zn2Ag2 with its theoretical powder diffraction line list. Radiation: a wavelength of 1.5418 Å. Structure: a crystal structure in Alexandria, relaxed with PBE.
Lines closer than 0.1° are merged.

The 8 most intense peaks (2θ from 5° to 70°), in order of rising 2θ:
3.953 Å, rel. 100; 3.493 Å, rel. 34; 2.767 Å, rel. 97; 2.397 Å, rel. 54; 2.196 Å, rel. 17; 2.095 Å, rel. 50; 2.061 Å, rel. 85; 1.812 Å, rel. 48

Atomic structure:
```
data_Al7Zn2Ag2
_chemical_formula_sum 'Al7 Zn2 Ag2'
_cell_length_a 5.6635
_cell_length_b 5.6635
_cell_length_c 6.9869
_cell_angle_alpha 90.00
_cell_angle_beta 90.00
_cell_angle_gamma 115.70
_space_group_name_H-M_alt 'P 1'
_space_group_IT_number 1
loop_
_space_group_symop_operation_xyz
'x,y,z'
loop_
_atom_site_label
_atom_site_fract_x
_atom_site_fract_y
_atom_site_fract_z
Al1 0.0000 0.0000 0.0000
Al2 0.0000 0.5000 0.3132
Al3 0.0000 0.5000 0.6868
Al4 0.5000 0.0000 0.3132
Al5 0.5000 0.0000 0.6868
Al6 0.5000 0.5000 0.2140
Al7 0.5000 0.5000 0.7860
Zn1 0.2147 0.2147 0.5000
Zn2 0.7853 0.7853 0.5000
Ag1 0.2674 0.7326 0.0000
Ag2 0.7326 0.2674 0.0000
```

***

[8]
This entry pairs a crystal structure of SiAg2Pt with its theoretical powder diffraction line list. Radiation: a wavelength of 1.5418 Å. Structure: a crystal structure in Alexandria, relaxed with PBE.
Lines closer than 0.1° are merged.

The 8 most intense peaks (2θ from 5° to 70°), in order of rising 2θ:
4.338 Å, rel. 27; 2.885 Å, rel. 24; 2.736 Å, rel. 27; 2.592 Å, rel. 24; 2.442 Å, rel. 48; 2.335 Å, rel. 100; 2.169 Å, rel. 27; 2.129 Å, rel. 69

Atomic structure:
```
data_SiAg2Pt
_chemical_formula_sum 'Si2 Ag4 Pt2'
_cell_length_a 9.2600
_cell_length_b 3.0589
_cell_length_c 4.9824
_cell_angle_alpha 90.00
_cell_angle_beta 110.46
_cell_angle_gamma 90.00
_space_group_name_H-M_alt 'P 1'
_space_group_IT_number 1
loop_
_space_group_symop_operation_xyz
'x,y,z'
loop_
_atom_site_label
_atom_site_fract_x
_atom_site_fract_y
_atom_site_fract_z
Si1 0.0000 0.0000 0.0000
Si2 0.5000 0.5000 0.0000
Ag1 0.2267 0.5000 0.3428
Ag2 0.4992 0.0000 0.5592
Ag3 0.7267 0.0000 0.3428
Ag4 0.9992 0.5000 0.5592
Pt1 0.2868 0.0000 0.9013
Pt2 0.7868 0.5000 0.9013
```

***

[9]
This entry pairs a crystal structure of CsHg5Bi with its theoretical powder diffraction line list. Radiation: a wavelength of 1.5418 Å. Structure: a crystal structure in Alexandria, relaxed with PBE.
Lines closer than 0.1° are merged.

The 8 most intense peaks (2θ from 5° to 70°), in order of rising 2θ:
5.385 Å, rel. 67; 5.163 Å, rel. 56; 3.727 Å, rel. 50; 3.255 Å, rel. 78; 3.215 Å, rel. 80; 2.582 Å, rel. 56; 2.413 Å, rel. 64; 2.387 Å, rel. 100

Atomic structure:
```
data_CsHg5Bi
_chemical_formula_sum 'Cs2 Hg10 Bi2'
_cell_length_a 7.5301
_cell_length_b 10.3261
_cell_length_c 7.7040
_cell_angle_alpha 90.00
_cell_angle_beta 90.00
_cell_angle_gamma 90.00
_space_group_name_H-M_alt 'P 1'
_space_group_IT_number 1
loop_
_space_group_symop_operation_xyz
'x,y,z'
loop_
_atom_site_label
_atom_site_fract_x
_atom_site_fract_y
_atom_site_fract_z
Cs1 0.0000 0.0000 0.0000
Cs2 0.5000 0.5000 0.5000
Hg1 0.0000 0.2310 0.4390
Hg2 0.0000 0.5000 0.7132
Hg3 0.0000 0.7690 0.4390
Hg4 0.2343 0.0000 0.4969
Hg5 0.2657 0.5000 0.9969
Hg6 0.5000 0.0000 0.2132
Hg7 0.5000 0.2690 0.9390
Hg8 0.5000 0.7310 0.9390
Hg9 0.7343 0.5000 0.9969
Hg10 0.7657 0.0000 0.4969
Bi1 0.0000 0.5000 0.2925
Bi2 0.5000 0.0000 0.7925
```